Entry 1:
This entry pairs a crystal structure of PuPa5 with its theoretical X-ray powder pattern. Radiation: Cu Kα X-rays. Structure: DFT lattice parameters and positions (GGA-PBE).

Most intense lines, 2θ from 15° to 90°, by angle:
2theta	I (rel.)
33.6	100
38.4	35
39.9	16
55.5	12
56.6	23
66.4	15
66.5	15
68.5	13
70.5	12
82.2	2

Structural model:
```
12
Lattice="4.6782 0.0000 0.0000 0.0000 13.5490 0.0000 0.0000 0.0000 4.6889" Properties=species:S:1:pos:R:3 pbc="T T T"
Pu 0.0000 0.0000 0.0000
Pu 2.3391 6.7745 0.0000
Pa 0.0000 2.2382 2.3445
Pa 0.0000 4.5355 0.0000
Pa 0.0000 6.7745 2.3445
Pa 0.0000 9.0134 0.0000
Pa 0.0000 11.3108 2.3445
Pa 2.3391 0.0000 2.3445
Pa 2.3391 2.2390 0.0000
Pa 2.3391 4.5363 2.3445
Pa 2.3391 9.0127 2.3445
Pa 2.3391 11.3100 0.0000
```

=====

Entry 2:
This entry pairs a crystal structure of Pu3Pa8 with its theoretical X-ray powder pattern. Radiation: Cu Kα X-rays. Structure: DFT lattice parameters and positions (GGA-PBE).

Most intense lines, 2θ from 15° to 90°, by angle:
2theta	I (rel.)
32.7	100
36.4	38
36.6	37
36.8	73
46.3	19
47.4	18
60.5	18
60.7	18
61.2	17
68.4	25

Structural model:
```
11
Lattice="6.0826 -1.9167 0.0000 6.0826 1.9167 0.0000 -5.1388 0.0000 11.2124" Properties=species:S:1:pos:R:3 pbc="T T T"
Pu 0.0000 0.0000 0.0000
Pu -2.1669 0.0000 7.1702
Pu 9.1932 0.0000 4.0422
Pa 0.8098 0.0000 3.0744
Pa -1.3205 0.0000 10.2100
Pa 1.6819 0.0000 6.0960
Pa 4.5931 0.0000 2.0337
Pa 2.4332 0.0000 9.1788
Pa 5.3444 0.0000 5.1164
Pa 8.3468 0.0000 1.0024
Pa 6.2165 0.0000 8.1380
```